1.
This entry pairs a crystal structure of Tm4BSeS2 with its theoretical powder diffraction line list. Radiation: CuKα. Structure: a structure optimized by DFT (PBE).

Cell and atoms:
```
data_Tm4BSeS2
_chemical_formula_sum 'Tm8 B2 Se2 S4'
_space_group_name_H-M_alt 'I -4 m 2'
_space_group_IT_number 119
_space_group_name_Hall 'I -4 -2'
_cell_length_a 5.466
_cell_length_b 5.466
_cell_length_c 11.014
_cell_angle_alpha 90.00
_cell_angle_beta 90.00
_cell_angle_gamma 90.00
loop_
_atom_site_label
_atom_site_type_symbol
_atom_site_fract_x
_atom_site_fract_y
_atom_site_fract_z
Tm1 Tm 0.000 0.000 0.230
Tm2 Tm 0.000 0.500 0.505
B1 B 0.000 0.000 0.000
Se1 Se 0.000 0.500 0.250
S1 S 0.000 0.000 0.500
S2 S 0.000 0.500 0.750
```

The 10 most intense peaks (10° ≤ 2θ ≤ 90°), sorted by position:
two_theta  I_rel  hkl
28.2  100  1 1 2
32.5  42  0 0 4
32.8  92  2 0 0
46.8  60  2 0 4
47.0  33  2 2 0
55.7  32  3 1 2
58.3  31  2 2 4
78.1  13  4 0 4
78.2  15  4 2 0
87.3  21  4 2 4

=====

2.
This entry pairs a crystal structure of NdYBr5 with its theoretical powder diffraction line list. Radiation: CuKα. Structure: a structure optimized by DFT (PBE).

Cell and atoms:
```
data_NdYBr5
_chemical_formula_sum 'Nd2 Y2 Br10'
_space_group_name_H-M_alt 'P 1 21/m 1'
_space_group_IT_number 11
_space_group_name_Hall '-P 2yb'
_cell_length_a 8.505
_cell_length_b 4.054
_cell_length_c 13.685
_cell_angle_alpha 90.00
_cell_angle_beta 94.28
_cell_angle_gamma 90.00
loop_
_atom_site_label
_atom_site_type_symbol
_atom_site_fract_x
_atom_site_fract_y
_atom_site_fract_z
Nd1 Nd 0.102 0.250 0.152
Y1 Y 0.417 0.750 0.345
Br1 Br 0.069 0.750 0.311
Br2 Br 0.137 0.250 0.928
Br3 Br 0.323 0.250 0.482
Br4 Br 0.354 0.750 0.129
Br5 Br 0.371 0.750 0.709
```

The 10 most intense peaks (10° ≤ 2θ ≤ 90°), sorted by position:
two_theta  I_rel  hkl
11.9  100  1 0 -1
28.0  39  1 1 2
29.9  18  2 0 3
30.5  36  2 1 0
30.9  50  1 1 -3
32.6  22  2 1 -2
32.8  31  3 0 1
41.7  18  2 1 4
42.7  21  4 0 0
44.7  23  0 2 0

=====

Copy entry 2 word for word.
This entry pairs a crystal structure of NdYBr5 with its theoretical powder diffraction line list. Radiation: CuKα. Structure: a structure optimized by DFT (PBE).

Cell and atoms:
```
data_NdYBr5
_chemical_formula_sum 'Nd2 Y2 Br10'
_space_group_name_H-M_alt 'P 1 21/m 1'
_space_group_IT_number 11
_space_group_name_Hall '-P 2yb'
_cell_length_a 8.505
_cell_length_b 4.054
_cell_length_c 13.685
_cell_angle_alpha 90.00
_cell_angle_beta 94.28
_cell_angle_gamma 90.00
loop_
_atom_site_label
_atom_site_type_symbol
_atom_site_fract_x
_atom_site_fract_y
_atom_site_fract_z
Nd1 Nd 0.102 0.250 0.152
Y1 Y 0.417 0.750 0.345
Br1 Br 0.069 0.750 0.311
Br2 Br 0.137 0.250 0.928
Br3 Br 0.323 0.250 0.482
Br4 Br 0.354 0.750 0.129
Br5 Br 0.371 0.750 0.709
```

The 10 most intense peaks (10° ≤ 2θ ≤ 90°), sorted by position:
two_theta  I_rel  hkl
11.9  100  1 0 -1
28.0  39  1 1 2
29.9  18  2 0 3
30.5  36  2 1 0
30.9  50  1 1 -3
32.6  22  2 1 -2
32.8  31  3 0 1
41.7  18  2 1 4
42.7  21  4 0 0
44.7  23  0 2 0